Structure and computed PXRD pattern of MgBrCl (a crystal structure in Alexandria, relaxed with GGA-PBE; Cu Kα (λ = 1.5418 Å)).

Largest 10 diffraction maxima, low angle first, 10° ≤ 2θ ≤ 90°:
2theta, intensity
12.6, 88.3
15.2, 29.4
25.4, 32.8
29.7, 35.4
29.9, 57.0
30.4, 100.0
36.8, 44.0
38.1, 51.0
47.3, 34.6
48.3, 39.3

Atomic structure:
Unit cell a=3.7790 b=6.5312 c=7.8262 alpha=112.10 beta=103.91 gamma=90.02
Fractional coordinates of all 6 atoms:
Mg (0.2502, 0.2441, 0.0001)
Mg (0.7498, 0.7559, 0.9999)
Br (0.3596, 0.6814, 0.2202)
Br (0.6404, 0.3186, 0.7798)
Cl (0.1547, 0.8293, 0.8087)
Cl (0.8453, 0.1707, 0.1913)